For CdFeSnP3O12, the PBE+U geometry in the Materials Project gives the computed powder XRD pattern in this record (λ = 1.5418 Å (Cu Kα)).

Structural model:
```
CdFeSnP3O12
1.0
4.3658 2.5206 7.3386
-4.3658 2.5206 7.3386
0.0000 -5.0412 7.3386
Cd Fe Sn P O
2 2 2 6 24
direct
0.0000 0.0000 0.0000 Cd
0.5000 0.5000 0.5000 Cd
0.3555 0.3555 0.3555 Fe
0.8555 0.8555 0.8555 Fe
0.1494 0.1494 0.1494 Sn
0.6494 0.6494 0.6494 Sn
0.0480 0.4629 0.7517 P
0.2517 0.9629 0.5480 P
0.4629 0.7517 0.0480 P
0.5480 0.2517 0.9629 P
0.7517 0.0480 0.4629 P
0.9629 0.5480 0.2517 P
0.0085 0.6215 0.8038 O
0.0638 0.2720 0.9203 O
0.0859 0.9417 0.7345 O
0.1215 0.5085 0.3038 O
0.2065 0.9880 0.3893 O
0.2345 0.4417 0.5859 O
0.2720 0.9203 0.0638 O
0.3038 0.1215 0.5085 O
0.3893 0.2065 0.9880 O
0.4203 0.7720 0.5638 O
0.4417 0.5859 0.2345 O
0.4880 0.7065 0.8893 O
0.5085 0.3038 0.1215 O
0.5638 0.4203 0.7720 O
0.5859 0.2345 0.4417 O
0.6215 0.8038 0.0085 O
0.7065 0.8893 0.4880 O
0.7345 0.0859 0.9417 O
0.7720 0.5638 0.4203 O
0.8038 0.0085 0.6215 O
0.8893 0.4880 0.7065 O
0.9203 0.0638 0.2720 O
0.9417 0.7345 0.0859 O
0.9880 0.3893 0.2065 O
```

The 12 most intense peaks (10° ≤ 2θ ≤ 90°), low angle first:
| d (Å) | I (rel.) |
| --- | --- |
| 6.233 | 14.1 |
| 4.366 | 100.0 |
| 3.752 | 38.4 |
| 3.576 | 13.8 |
| 2.809 | 80.2 |
| 2.521 | 36.5 |
| 2.078 | 17.1 |
| 1.982 | 23.2 |
| 1.876 | 28.5 |
| 1.668 | 11.4 |
| 1.650 | 22.9 |
| 1.505 | 22.4 |